No. 1
For YErCSe, a cell relaxed with GGA-PBE gives the calculated powder diffractogram in this record (a wavelength of 1.5418 Å).

Structural model:
```
YErCSe
1.0
3.7428 0.0000 0.0000
-1.8714 3.2413 0.0000
0.0000 0.0000 13.2027
Y Er C Se
2 2 2 2
Cartesian
0.0000 2.1609 5.2644
1.8714 1.0804 7.9383
0.0000 2.1609 1.3039
1.8714 1.0804 11.8988
0.0000 0.0000 0.0000
0.0000 0.0000 6.6014
0.0000 2.1609 9.9375
1.8714 1.0804 3.2652
```

Top 10 peaks for 2θ = 10–90°, most intense first:
Position (°2θ)  I (rel.)
34.36  100
48.66  28
27.52  28
60.92  19
81.57  16
65.47  15
50.11  11
56.48  11
41.02  10
28.35  10

***

No. 2
For YErCSe, a cell relaxed with GGA-PBE gives the calculated powder diffractogram in this record (a wavelength of 1.5418 Å).

Structural model:
```
YErCSe
1.0
3.7437 0.0000 0.0000
-1.8719 3.2422 0.0000
0.0000 0.0000 13.2083
Y Er C Se
2 2 2 2
Cartesian
0.0000 2.1614 0.0000
1.8719 1.0807 6.6042
0.0000 2.1614 3.9616
1.8719 1.0807 10.5657
0.0000 0.0000 5.2617
0.0000 0.0000 11.8658
0.0000 2.1614 8.6035
1.8719 1.0807 1.9994
```

Top 10 peaks for 2θ = 10–90°, most intense first:
Position (°2θ)  I (rel.)
34.35  100
48.64  28
27.51  28
60.90  19
81.54  16
65.45  15
28.34  13
56.46  11
50.09  10
41.00  10

***

No. 3
For Er15Si9C, a cell relaxed with GGA-PBE gives the calculated powder diffractogram in this record (a wavelength of 1.5418 Å).

Structural model:
```
Er15Si9C
1.0
14.4526 0.0000 0.0000
-7.2263 12.5163 0.0000
0.0000 0.0000 6.3390
Er Si C
30 18 2
Cartesian
-2.2523 4.2555 0.0000
-4.6671 8.4380 0.0000
0.0000 2.0101 1.6475
-5.4855 11.5113 1.6475
1.7408 1.0051 4.8170
-1.7158 7.3536 1.7362
0.0000 6.3740 4.5564
-1.7063 9.3293 4.5564
2.2523 4.2555 0.0000
-2.4148 12.3391 0.0000
4.8115 0.1772 3.1695
2.5593 4.0783 3.1695
1.7159 7.3536 1.7362
0.0000 10.3255 1.7362
1.7063 9.3293 4.5564
5.5201 3.1870 1.3870
7.2263 2.1908 4.9057
5.5105 5.1628 4.9057
4.6671 8.4380 0.0000
2.4148 12.3391 0.0000
9.6411 0.1772 3.1695
4.9740 8.2608 3.1695
8.9326 3.1870 1.3870
7.2263 6.1423 1.3870
8.9422 5.1628 4.9057
5.4855 11.5113 1.6475
12.7118 1.0051 4.8170
7.2263 10.5062 4.8170
11.8934 4.0783 3.1695
9.4786 8.2608 3.1695
-2.8907 6.6753 4.6748
0.0000 3.3124 4.6219
-4.3577 10.8601 4.6219
0.0000 4.9815 1.7897
-2.9122 10.0256 1.7897
2.8686 1.6562 1.4524
4.3141 2.4907 4.9592
2.8907 6.6753 4.6748
0.0000 11.6821 4.6748
7.2263 0.8342 1.5053
4.3356 5.8411 1.5053
2.9122 10.0256 1.7897
4.3577 10.8601 4.6219
10.1385 2.4907 4.9592
7.2263 7.5349 4.9592
11.5840 1.6562 1.4524
7.2263 9.2039 1.4524
10.1170 5.8411 1.5053
0.0000 8.3442 3.1486
7.2263 4.1721 6.3181
```

Top 10 peaks for 2θ = 10–90°, most intense first:
Position (°2θ)  I (rel.)
35.80  100
35.57  85
30.81  53
32.79  52
25.56  46
24.64  32
37.33  31
58.84  29
52.52  26
54.94  24

***

No. 4
For Tb3ErSn2C2, a cell relaxed with GGA-PBE gives the calculated powder diffractogram in this record (a wavelength of 1.5418 Å).

Structural model:
```
Tb3ErSn2C2
1.0
3.6258 0.0000 0.0000
-1.8129 3.1401 0.0000
0.0000 0.0000 15.9363
Tb Er Sn C
3 1 2 2
Cartesian
0.0000 0.0000 0.0000
0.0000 0.0000 5.2840
0.0000 2.0934 7.9961
0.0000 2.0934 13.2633
0.0000 0.0000 10.6531
0.0000 2.0934 2.6438
1.8129 1.0467 6.6418
1.8129 1.0467 14.5778
```

Top 10 peaks for 2θ = 10–90°, most intense first:
Position (°2θ)  I (rel.)
33.14  100
28.42  22
50.33  22
61.97  22
33.75  20
59.98  18
61.60  17
44.69  16
83.45  15
82.03  8